1.
This entry pairs a crystal structure of La4Ge2Rh with its calculated PXRD pattern. Radiation: λ = 1.5418 Å (Cu Kα). Structure: DFT lattice parameters and positions (PBE).
Lines closer than 0.1° are merged.

Crystal structure
Unit cell a=7.7258 b=10.2075 c=5.0658 alpha=90.00 beta=90.00 gamma=90.00
Space group Cmmm (No. 65)
Symmetry-distinct sites (fractional):
La1 0.2347 0.0000 0.0000
La2 0.2500 0.2500 0.5000
Ge1 0.0000 0.2690 0.0000
Rh1 0.0000 0.0000 0.5000

Principal peaks in the range 2θ = 15–90°, low angle first:
2θ/deg	d (Å)	I (rel.)	(hkl)
24.76	3.595	16	0 2 1
34.07	2.632	100	2 2 1
35.17	2.552	22	0 4 0
35.44	2.533	23	0 0 2
47.05	1.931	10	4 0 0
50.79	1.798	16	0 4 2
60.26	1.536	9	4 0 2
62.40	1.488	16	2 6 1
62.75	1.481	17	2 2 3
71.73	1.316	10	4 4 2



2.
This entry pairs a crystal structure of LaGe2RhS with its calculated PXRD pattern. Radiation: λ = 1.5418 Å (Cu Kα). Structure: DFT lattice parameters and positions (PBE).
Lines closer than 0.1° are merged.

Crystal structure
Unit cell a=4.2434 b=4.2434 c=21.9619 alpha=90.00 beta=90.00 gamma=120.00
Space group R3m (No. 160, hexagonal axes)
Symmetry-distinct sites (fractional):
La1 0.0000 0.0000 0.0000
Ge1 0.0000 0.0000 0.1558
Ge2 0.0000 0.0000 0.7550
Rh1 0.0000 0.0000 0.4479
S1 0.0000 0.0000 0.2654

Principal peaks in the range 2θ = 15–90°, low angle first:
2θ/deg	d (Å)	I (rel.)	(hkl)
24.32	3.660	25	0 0 6
24.56	3.624	22	1 0 1
29.24	3.054	100	1 0 4
31.75	2.819	30	0 1 5
37.70	2.386	81	1 0 7
42.61	2.122	100	1 1 0
44.46	2.038	21	1 1 3
49.67	1.836	21	1 1 6
58.18	1.586	22	0 2 7
74.74	1.270	21	2 1 7



3.
This entry pairs a crystal structure of LaGe2RhS with its calculated PXRD pattern. Radiation: λ = 1.5418 Å (Cu Kα). Structure: DFT lattice parameters and positions (PBE).
Lines closer than 0.1° are merged.

Crystal structure
Unit cell a=4.1208 b=4.2973 c=6.1554 alpha=90.35 beta=104.11 gamma=90.46
Space group P1 (No. 1)
Symmetry-distinct sites (fractional):
La1 0.0000 0.0000 0.0000
Ge1 0.3324 0.0301 0.5245
Ge2 0.4197 0.5457 0.7446
Rh1 0.8509 0.3793 0.5545
S1 0.5560 0.4920 0.1488

Principal peaks in the range 2θ = 15–90°, low angle first:
2θ/deg	d (Å)	I (rel.)	(hkl)
25.44	3.501	50	0 1 -1
29.94	2.985	60	0 0 2
30.70	2.912	64	1 1 0
31.49	2.841	100	-1 1 1
31.62	2.830	35	1 1 -1
36.33	2.473	34	1 -1 1
36.51	2.461	61	0 1 -2
36.76	2.445	67	1 1 1
42.02	2.150	68	0 2 0
44.15	2.051	52	2 0 -1